This entry pairs a crystal structure of Rb2BaPt2C8N8 with its theoretical XRD peak list. Radiation: Cu Ka. Structure: a cell relaxed with PBE.

Largest 12 diffraction maxima, sorted by position, 15° ≤ 2θ ≤ 90°:
2θ/deg  d [Å]  I/Imax
15.94  5.560  81
20.37  4.361  74
22.62  3.932  72
25.33  3.516  34
27.81  3.208  91
30.08  2.970  53
32.20  2.780  74
36.13  2.486  100
49.17  1.853  42
52.02  1.758  34
54.77  1.676  31
64.97  1.435  32

Structural model:
Cell: 7.863 7.863 7.028 Å, 90.00 90.00 90.00°
Space group P4/mmm (No. 123)
Inequivalent atoms, fractional coordinates:
Rb  0.000  0.500  0.000 x2
Ba  0.000  0.000  0.500 x1
Pt  0.500  0.500  0.257 x2
C  0.321  0.321  0.260 x8
N  0.215  0.215  0.263 x8



This entry pairs a crystal structure of BaC2S2N2 with its theoretical XRD peak list. Radiation: Cu Ka. Structure: a cell relaxed with PBE.

Largest 12 diffraction maxima, sorted by position, 15° ≤ 2θ ≤ 90°:
2θ/deg  d [Å]  I/Imax
15.38  5.760  64
16.47  5.384  40
18.29  4.851  44
20.33  4.369  56
25.36  3.513  79
26.73  3.336  34
28.10  3.176  100
29.63  3.015  26
32.55  2.751  38
32.93  2.720  37
33.31  2.690  27
35.46  2.532  33

Structural model:
Cell: 10.774 6.818 8.743 Å, 90.00 92.01 90.00°
Space group C2/c (No. 15)
Inequivalent atoms, fractional coordinates:
Ba  0.000  0.101  0.250 x4
C  0.122  0.358  0.605 x8
S  0.202  0.456  0.172 x8
N  0.064  0.221  0.557 x8